No. 1
Diffraction record for Mg3Al18V2. The powder X-ray diffraction pattern is computed, not measured: it uses a crystal structure in the Materials Project, relaxed with PBE and Cu Kα X-rays.
Peak positions follow from Bragg's law for the DFT cell and can differ from measured ones.

Structure:
Unit cell a=14.600 b=14.600 c=14.600 alpha=90.00 beta=90.00 gamma=90.00
Space group Fd-3m (No. 227, origin choice 2)
Inequivalent atoms, fractional coordinates:
Mg (0.000, 0.000, 0.000) [16 per cell]
Mg (0.125, 0.125, 0.125) [8 per cell]
Al (0.012, 0.375, 0.875) [48 per cell]
Al (0.058, 0.058, 0.326) [96 per cell]
V (0.000, 0.000, 0.500) [16 per cell]

Largest 6 diffraction maxima, in order of rising 2θ, 10 to 90 degrees two-theta:
10.49 deg, I = 58.5, hkl 1 1 1
36.41 deg, I = 46.6, hkl 5 3 1
40.52 deg, I = 73.1, hkl 5 3 3
41.01 deg, I = 100.0, hkl 6 2 2
44.31 deg, I = 50.3, hkl 7 1 1
73.37 deg, I = 41.6, hkl 8 8 0


No. 2
Diffraction record for Mg14AlV. The powder X-ray diffraction pattern is computed, not measured: it uses a crystal structure in the Materials Project, relaxed with PBE and Cu Kα X-rays.
Peak positions follow from Bragg's law for the DFT cell and can differ from measured ones.

Structure:
Unit cell a=6.2681 b=6.2681 c=10.3114 alpha=90.00 beta=90.00 gamma=120.00
Space group P-6m2 (No. 187)
Inequivalent atoms, fractional coordinates:
Mg (0.0000, 0.0000, 0.2497) [2 per cell]
Mg (0.0056, 0.5028, 0.2505) [6 per cell]
Mg (0.3325, 0.1662, 0.0000) [3 per cell]
Mg (0.3345, 0.1673, 0.5000) [3 per cell]
Al (0.3333, 0.6667, 0.0000) [1 per cell]
V (0.3333, 0.6667, 0.5000) [1 per cell]

Largest 6 diffraction maxima, in order of rising 2θ, 10 to 90 degrees two-theta:
33.00 deg, I = 24.0, hkl 2 0 0
34.80 deg, I = 27.4, hkl 0 0 4
37.45 deg, I = 100.0, hkl 2 0 2
58.94 deg, I = 16.6, hkl 2 2 0
64.14 deg, I = 19.0, hkl 2 0 6
70.30 deg, I = 18.9, hkl 2 2 4


No. 3
Diffraction record for Mg14AlV. The powder X-ray diffraction pattern is computed, not measured: it uses a crystal structure in the Materials Project, relaxed with PBE and Cu Kα X-rays.
Peak positions follow from Bragg's law for the DFT cell and can differ from measured ones.

Structure:
Unit cell a=10.287 b=6.216 c=10.852 alpha=90.00 beta=90.00 gamma=90.00
Space group Amm2 (No. 38)
Inequivalent atoms, fractional coordinates:
Mg (0.000, 0.000, 0.000) [2 per cell]
Mg (0.000, 0.000, 0.500) [2 per cell]
Mg (0.000, 0.250, 0.251) [4 per cell]
Mg (0.251, 0.000, 0.166) [4 per cell]
Mg (0.252, 0.000, 0.665) [4 per cell]
Mg (0.257, 0.249, 0.419) [8 per cell]
Mg (0.500, 0.249, 0.750) [4 per cell]
Al (0.500, 0.000, 0.000) [2 per cell]
V (0.500, 0.000, 0.501) [2 per cell]

Largest 6 diffraction maxima, in order of rising 2θ, 10 to 90 degrees two-theta:
33.22 deg, I = 24.0, hkl 0 2 2
34.89 deg, I = 41.2, hkl 4 0 0
37.48 deg, I = 50.6, hkl 2 0 4
37.66 deg, I = 100.0, hkl 2 2 2
64.39 deg, I = 18.9, hkl 6 2 2
70.49 deg, I = 18.9, hkl 4 2 6


No. 4
Diffraction record for Mg16Al12W. The powder X-ray diffraction pattern is computed, not measured: it uses a crystal structure in the Materials Project, relaxed with PBE and Cu Kα X-rays.
Peak positions follow from Bragg's law for the DFT cell and can differ from measured ones.

Structure:
Unit cell a=14.4784 b=14.4784 c=9.4442 alpha=90.00 beta=90.00 gamma=120.00
Space group R3m (No. 160, hexagonal axes)
Inequivalent atoms, fractional coordinates:
Mg (0.0000, 0.0000, 0.0000) [3 per cell]
Mg (0.0409, 0.3595, 0.3701) [18 per cell]
Mg (0.0936, 0.1872, 0.4968) [9 per cell]
Mg (0.0938, 0.5469, 0.5636) [9 per cell]
Mg (0.2018, 0.4036, 0.1251) [9 per cell]
Al (0.9998, 0.1815, 0.1939) [18 per cell]
Al (0.1280, 0.0640, 0.7188) [9 per cell]
Al (0.2064, 0.4127, 0.6147) [9 per cell]
W (0.0000, 0.0000, 0.2926) [3 per cell]

Largest 6 diffraction maxima, in order of rising 2θ, 10 to 90 degrees two-theta:
11.73 deg, I = 97.2, hkl 1 0 1
12.23 deg, I = 100.0, hkl 1 1 0
35.71 deg, I = 74.2, hkl 3 0 3
36.58 deg, I = 51.9, hkl 2 3 2
37.09 deg, I = 60.1, hkl 0 5 1
41.21 deg, I = 50.7, hkl 5 1 1


No. 5
Diffraction record for YMg16Al12. The powder X-ray diffraction pattern is computed, not measured: it uses a crystal structure in the Materials Project, relaxed with PBE and Cu Kα X-rays.
Peak positions follow from Bragg's law for the DFT cell and can differ from measured ones.

Structure:
Unit cell a=15.1538 b=15.1538 c=8.9075 alpha=90.00 beta=90.00 gamma=120.00
Space group R3m (No. 160, hexagonal axes)
Inequivalent atoms, fractional coordinates:
Y (0.0000, 0.0000, 0.0000) [3 per cell]
Mg (0.0000, 0.0000, 0.3726) [3 per cell]
Mg (0.0060, 0.3065, 0.6760) [18 per cell]
Mg (0.0652, 0.5326, 0.5879) [9 per cell]
Mg (0.2202, 0.1101, 0.8704) [9 per cell]
Mg (0.2195, 0.4390, 0.1556) [9 per cell]
Al (0.0610, 0.1220, 0.6819) [9 per cell]
Al (0.0909, 0.5454, 0.1058) [9 per cell]
Al (0.1525, 0.4838, 0.8531) [18 per cell]

Largest 6 diffraction maxima, in order of rising 2θ, 10 to 90 degrees two-theta:
11.68 deg, I = 28.1, hkl 1 1 0
35.55 deg, I = 54.6, hkl 3 3 0
35.66 deg, I = 35.2, hkl 0 5 1
36.01 deg, I = 97.8, hkl 2 3 2
36.58 deg, I = 100.0, hkl 0 3 3
39.55 deg, I = 47.5, hkl 5 1 1


No. 6
Diffraction record for YMgAl4. The powder X-ray diffraction pattern is computed, not measured: it uses a crystal structure in the Materials Project, relaxed with PBE and Cu Kα X-rays.
Peak positions follow from Bragg's law for the DFT cell and can differ from measured ones.

Structure:
Unit cell a=5.5207 b=5.5207 c=8.9130 alpha=90.00 beta=90.00 gamma=120.00
Space group P-3m1 (No. 164)
Inequivalent atoms, fractional coordinates:
Y (0.3333, 0.6667, 0.0699) [2 per cell]
Mg (0.3333, 0.6667, 0.4410) [2 per cell]
Al (0.0000, 0.0000, 0.0000) [1 per cell]
Al (0.0000, 0.0000, 0.5000) [1 per cell]
Al (0.1702, 0.3403, 0.7480) [6 per cell]

Largest 6 diffraction maxima, in order of rising 2θ, 10 to 90 degrees two-theta:
27.36 deg, I = 36.7, hkl 1 0 2
32.43 deg, I = 60.2, hkl 1 1 0
35.58 deg, I = 100.0, hkl 1 0 3
38.36 deg, I = 94.7, hkl 1 1 2
39.01 deg, I = 69.9, hkl 0 2 1
59.91 deg, I = 39.6, hkl 2 1 3


No. 7
Diffraction record for YMgAl. The powder X-ray diffraction pattern is computed, not measured: it uses a crystal structure in the Materials Project, relaxed with PBE and Cu Kα X-rays.
Peak positions follow from Bragg's law for the DFT cell and can differ from measured ones.

Structure:
Unit cell a=7.3649 b=7.3649 c=4.5577 alpha=90.00 beta=90.00 gamma=120.00
Space group P-62m (No. 189)
Inequivalent atoms, fractional coordinates:
Y (0.0000, 0.4329, 0.0000) [3 per cell]
Mg (0.0000, 0.7586, 0.5000) [3 per cell]
Al (0.0000, 0.0000, 0.0000) [1 per cell]
Al (0.3333, 0.6667, 0.5000) [2 per cell]

Largest 6 diffraction maxima, in order of rising 2θ, 10 to 90 degrees two-theta:
27.98 deg, I = 35.4, hkl 2 0 0
31.23 deg, I = 74.0, hkl 1 1 1
34.32 deg, I = 100.0, hkl 2 0 1
37.30 deg, I = 33.1, hkl 2 1 0
39.55 deg, I = 24.4, hkl 0 0 2
55.74 deg, I = 31.6, hkl 3 1 1


No. 8
Diffraction record for YMg16Al12. The powder X-ray diffraction pattern is computed, not measured: it uses a crystal structure in the Materials Project, relaxed with PBE and Cu Kα X-rays.
Peak positions follow from Bragg's law for the DFT cell and can differ from measured ones.

Structure:
Unit cell a=10.535 b=10.535 c=10.535 alpha=90.00 beta=90.00 gamma=90.00
Space group I-43m (No. 217)
Inequivalent atoms, fractional coordinates:
Y (0.000, 0.000, 0.000) [2 per cell]
Mg (0.039, 0.358, 0.358) [24 per cell]
Mg (0.179, 0.179, 0.821) [8 per cell]
Al (0.091, 0.091, 0.278) [24 per cell]

Largest 6 diffraction maxima, in order of rising 2θ, 10 to 90 degrees two-theta:
11.88 deg, I = 16.1, hkl 1 1 0
36.17 deg, I = 100.0, hkl 4 1 1
40.15 deg, I = 22.6, hkl 3 3 2
42.01 deg, I = 13.2, hkl 4 2 2
62.32 deg, I = 10.9, hkl 5 5 0
65.06 deg, I = 27.0, hkl 7 2 1


No. 9
Diffraction record for YMg14Al. The powder X-ray diffraction pattern is computed, not measured: it uses a crystal structure in the Materials Project, relaxed with PBE and Cu Kα X-rays.
Peak positions follow from Bragg's law for the DFT cell and can differ from measured ones.

Structure:
Unit cell a=10.358 b=6.341 c=11.256 alpha=90.00 beta=90.00 gamma=90.00
Space group Amm2 (No. 38)
Inequivalent atoms, fractional coordinates:
Y (0.000, 0.000, 0.000) [2 per cell]
Mg (0.000, 0.245, 0.250) [4 per cell]
Mg (0.243, 0.000, 0.662) [4 per cell]
Mg (0.252, 0.247, 0.413) [8 per cell]
Mg (0.255, 0.000, 0.165) [4 per cell]
Mg (0.500, 0.000, 0.498) [2 per cell]
Mg (0.500, 0.000, 0.997) [2 per cell]
Mg (0.500, 0.248, 0.747) [4 per cell]
Al (0.000, 0.000, 0.490) [2 per cell]

Largest 6 diffraction maxima, in order of rising 2θ, 10 to 90 degrees two-theta:
32.41 deg, I = 26.2, hkl 0 2 2
34.64 deg, I = 39.8, hkl 4 0 0
36.33 deg, I = 53.8, hkl 2 0 4
36.88 deg, I = 100.0, hkl 2 2 2
63.55 deg, I = 19.9, hkl 6 2 2
68.48 deg, I = 20.3, hkl 4 2 6


No. 10
Diffraction record for YMg14Al. The powder X-ray diffraction pattern is computed, not measured: it uses a crystal structure in the Materials Project, relaxed with PBE and Cu Kα X-rays.
Peak positions follow from Bragg's law for the DFT cell and can differ from measured ones.

Structure:
Unit cell a=6.4319 b=6.4319 c=10.3413 alpha=90.00 beta=90.00 gamma=120.00
Space group P-6m2 (No. 187)
Inequivalent atoms, fractional coordinates:
Y (0.0000, 0.0000, 0.0000) [1 per cell]
Mg (0.0090, 0.5045, 0.0000) [3 per cell]
Mg (0.1656, 0.3311, 0.2565) [6 per cell]
Mg (0.5015, 0.0030, 0.5000) [3 per cell]
Mg (0.6667, 0.3333, 0.2438) [2 per cell]
Al (0.0000, 0.0000, 0.5000) [1 per cell]

Largest 6 diffraction maxima, in order of rising 2θ, 10 to 90 degrees two-theta:
32.14 deg, I = 25.3, hkl 2 0 0
34.70 deg, I = 25.6, hkl 0 0 4
36.65 deg, I = 100.0, hkl 2 0 2
57.30 deg, I = 17.2, hkl 2 2 0
63.47 deg, I = 18.4, hkl 2 0 6
68.75 deg, I = 19.1, hkl 2 2 4